No. 1
Structure and computed powder diffraction line list of Sm2Cu3Sn3 (a cell relaxed with GGA-PBE; CuKα).

Cell and atoms:
```
Sm2Cu3Sn3
1.0
3.0696 0.0000 0.0000
0.0000 3.0696 0.0000
0.0000 0.0000 22.1396
Sm Cu Sn
2 3 3
direct
0.0000 0.0000 0.2453
0.0000 0.0000 0.7547
0.0000 0.0000 0.1185
0.0000 0.0000 0.5000
0.0000 0.0000 0.8815
0.0000 0.0000 0.0000
0.0000 0.0000 0.3854
0.0000 0.0000 0.6146
```

Largest 8 diffraction maxima, low angle first, 2θ from 10° to 80°:
2θ (°), d (Å), I (rel.)
29.09, 3.070, 100
32.35, 2.767, 34
41.61, 2.171, 38
44.06, 2.055, 58
53.67, 1.708, 32
68.33, 1.373, 17
70.11, 1.342, 14
77.64, 1.230, 22

=====

No. 2
Structure and computed powder diffraction line list of SrLaHg17 (a cell relaxed with GGA-PBE; CuKα).

Cell and atoms:
```
SrLaHg17
1.0
5.0351 2.9070 5.8612
-5.0351 2.9070 5.8612
0.0000 -5.8140 5.8612
Sr La Hg
1 1 17
direct
0.0000 0.0000 0.0000
0.6795 0.6795 0.6795
0.0522 0.3601 0.6642
0.0522 0.6642 0.3601
0.2619 0.7053 0.7053
0.2917 0.2917 0.9389
0.2917 0.9389 0.2917
0.3046 0.3046 0.3046
0.3601 0.0522 0.6642
0.3601 0.6642 0.0522
0.4748 0.4748 0.4748
0.5911 0.9498 0.9498
0.6642 0.0522 0.3601
0.6642 0.3601 0.0522
0.7053 0.2619 0.7053
0.7053 0.7053 0.2619
0.9389 0.2917 0.2917
0.9498 0.5911 0.9498
0.9498 0.9498 0.5911
```

Largest 8 diffraction maxima, low angle first, 2θ from 10° to 80°:
2θ (°), d (Å), I (rel.)
28.86, 3.094, 21
30.50, 2.931, 23
30.76, 2.907, 31
32.71, 2.737, 16
34.44, 2.604, 100
35.44, 2.533, 14
54.69, 1.678, 18
63.92, 1.456, 14